No. 1
TbPr8Ho2: computed powder diffraction line list (Cu Kα X-rays), based on a DFT-relaxed cell (PBE, Alexandria).

Peak list (10 most intense, 2θ from 5° to 70°, by angle)
2θ = 30.70°, I 100; 2θ = 30.95°, I 85; 2θ = 32.24°, I 44; 2θ = 32.37°, I 45; 2θ = 41.88°, I 15; 2θ = 46.34°, I 32; 2θ = 56.38°, I 19; 2θ = 56.69°, I 18; 2θ = 56.85°, I 16; 2θ = 61.90°, I 27

Cell and atoms:
Unit cell a=10.490 b=13.702 c=5.532 alpha=90.00 beta=90.07 gamma=90.00
Space group C2/m (No. 12)
Symmetry-distinct sites (fractional):
1 Tb 0.000 0.000 0.000 x2
2 Pr 0.000 0.253 0.000 x4
3 Pr 0.166 0.134 0.500 x8
4 Pr 0.166 0.500 0.000 x4
5 Ho 0.000 0.381 0.500 x4

=====

No. 2
Tb6Pr3Ho2: computed powder diffraction line list (Cu Kα X-rays), based on a DFT-relaxed cell (PBE, Alexandria).

Peak list (10 most intense, 2θ from 5° to 70°, by angle)
2θ = 30.44°, I 100; 2θ = 30.55°, I 32; 2θ = 35.33°, I 67; 2θ = 37.07°, I 1; 2θ = 50.75°, I 24; 2θ = 50.90°, I 23; 2θ = 60.39°, I 42; 2θ = 60.54°, I 13; 2θ = 63.35°, I 13; 2θ = 63.60°, I 4

Cell and atoms:
Unit cell a=3.5976 b=3.5976 c=96.5536 alpha=90.00 beta=90.00 gamma=120.00
Space group R-3m (No. 166, hexagonal axes)
Symmetry-distinct sites (fractional):
1 Tb 0.0000 0.0000 0.0923 x6
2 Tb 0.0000 0.0000 0.1817 x6
3 Tb 0.0000 0.0000 0.3640 x6
4 Pr 0.0000 0.0000 0.0000 x3
5 Pr 0.0000 0.0000 0.2719 x6
6 Ho 0.0000 0.0000 0.4553 x6